Simulated X-ray diffraction stick pattern of Pm3Nd7Mg for Cu Kα (weighted mean of Kα1 and Kα2), from a PBE-relaxed structure.
No peak broadening, texture or thermal motion is included.

Structural model:
a = 7.182 Å, b = 7.182 Å, c = 8.793 Å
α = 90.00°, β = 90.00°, γ = 120.00°
Fractional coordinates of all 11 atoms:
Pm: 0.168 0.336 0.000
Pm: 0.168 0.832 0.000
Pm: 0.664 0.832 0.000
Nd: 0.004 0.502 0.666
Nd: 0.333 0.166 0.335
Nd: 0.333 0.667 0.333
Nd: 0.498 0.502 0.666
Nd: 0.498 0.996 0.666
Nd: 0.834 0.166 0.335
Nd: 0.834 0.667 0.335
Mg: 0.000 0.000 0.664

Largest 12 diffraction maxima, sorted by position, 2θ = 5–70°:
| 2theta | intensity |
| --- | --- |
| 10.06 | 3 |
| 14.24 | 4 |
| 17.47 | 11 |
| 24.80 | 9 |
| 30.49 | 100 |
| 35.35 | 51 |
| 39.69 | 6 |
| 43.66 | 4 |
| 50.86 | 36 |
| 54.19 | 3 |
| 60.47 | 43 |
| 63.46 | 12 |